[1]
PmPuBrN2: simulated PXRD pattern (copper Kα), based on a structure optimized by DFT (GGA-PBE).

Peak list (8 most intense, 2θ from 10° to 80°, sorted by position)
- d = 6.759 Å, I = 71
- d = 3.532 Å, I = 100
- d = 3.037 Å, I = 82
- d = 2.899 Å, I = 72
- d = 2.812 Å, I = 63
- d = 2.774 Å, I = 61
- d = 2.619 Å, I = 77
- d = 2.072 Å, I = 32

Crystal structure
```
data_PmPuBrN2
_space_group_name_H-M_alt 'P 1 21/m 1'
_space_group_IT_number 11
_cell_length_a 7.136
_cell_length_b 4.143
_cell_length_c 7.885
_cell_angle_alpha 90.00
_cell_angle_beta 108.71
_cell_angle_gamma 90.00
loop_
_space_group_symop_operation_xyz
'x,y,z'
'-x,-y,-z'
'-x,y+1/2,-z'
'x,-y+1/2,z'
loop_
_atom_site_label
_atom_site_type_symbol
_atom_site_fract_x
_atom_site_fract_y
_atom_site_fract_z
Pm1 Pm 0.159 0.250 0.422
Pu1 Pu 0.150 0.250 0.921
Br1 Br 0.472 0.750 0.725
N1 N 0.001 0.750 0.359
N2 N 0.036 0.750 0.902
```

[2]
ReHgRh4: simulated PXRD pattern (copper Kα), based on a structure optimized by DFT (GGA-PBE).

Peak list (8 most intense, 2θ from 10° to 80°, sorted by position)
- d = 4.179 Å, I = 2
- d = 2.559 Å, I = 50
- d = 2.183 Å, I = 100
- d = 2.090 Å, I = 22
- d = 1.661 Å, I = 1
- d = 1.478 Å, I = 19
- d = 1.393 Å, I = 32
- d = 1.280 Å, I = 25

Crystal structure
```
data_ReHgRh4
_space_group_name_H-M_alt 'F -4 3 m'
_space_group_IT_number 216
_space_group_name_Hall 'F -4 2 3'
_cell_length_a 7.239
_cell_length_b 7.239
_cell_length_c 7.239
_cell_angle_alpha 90.00
_cell_angle_beta 90.00
_cell_angle_gamma 90.00
loop_
_atom_site_label
_atom_site_type_symbol
_atom_site_fract_x
_atom_site_fract_y
_atom_site_fract_z
Re1 Re 0.000 0.000 0.000
Hg1 Hg 0.250 0.250 0.250
Rh1 Rh 0.125 0.125 0.625
```

[3]
Zr4BeSi: simulated PXRD pattern (copper Kα), based on a structure optimized by DFT (GGA-PBE).

Peak list (8 most intense, 2θ from 10° to 80°, sorted by position)
- d = 2.625 Å, I = 18
- d = 2.570 Å, I = 100
- d = 2.287 Å, I = 9
- d = 2.084 Å, I = 18
- d = 2.053 Å, I = 10
- d = 1.529 Å, I = 12
- d = 1.505 Å, I = 18
- d = 1.337 Å, I = 12

Crystal structure
```
data_Zr4BeSi
_space_group_name_H-M_alt 'I 4 2 2'
_space_group_IT_number 97
_space_group_name_Hall 'I 4 2'
_cell_length_a 6.589
_cell_length_b 6.589
_cell_length_c 5.249
_cell_angle_alpha 90.00
_cell_angle_beta 90.00
_cell_angle_gamma 90.00
loop_
_atom_site_label
_atom_site_type_symbol
_atom_site_fract_x
_atom_site_fract_y
_atom_site_fract_z
Zr1 Zr 0.157 0.343 0.250
Be1 Be 0.000 0.000 0.500
Si1 Si 0.000 0.000 0.000
```

[4]
LaPr3Ga4O12: simulated PXRD pattern (copper Kα), based on a structure optimized by DFT (GGA-PBE).

Peak list (8 most intense, 2θ from 10° to 80°, sorted by position)
- d = 2.798 Å, I = 23
- d = 2.777 Å, I = 100
- d = 2.762 Å, I = 24
- d = 1.966 Å, I = 25
- d = 1.962 Å, I = 14
- d = 1.611 Å, I = 14
- d = 1.598 Å, I = 33
- d = 1.389 Å, I = 14

Crystal structure
```
data_LaPr3Ga4O12
_space_group_name_H-M_alt 'P 1 m 1'
_space_group_IT_number 6
_cell_length_a 5.525
_cell_length_b 7.848
_cell_length_c 5.596
_cell_angle_alpha 90.00
_cell_angle_beta 90.04
_cell_angle_gamma 90.00
loop_
_space_group_symop_operation_xyz
'x,y,z'
'x,-y,z'
loop_
_atom_site_label
_atom_site_type_symbol
_atom_site_fract_x
_atom_site_fract_y
_atom_site_fract_z
La1 La 0.000 0.000 0.000
Pr1 Pr 0.020 0.500 0.083
Pr2 Pr 0.498 0.500 0.581
Pr3 Pr 0.520 0.000 0.494
Ga1 Ga 0.009 0.251 0.539
Ga2 Ga 0.509 0.251 0.037
O1 O 0.091 0.000 0.555
O2 O 0.222 0.296 0.825
O3 O 0.294 0.294 0.325
O4 O 0.431 0.000 0.056
O5 O 0.592 0.500 0.019
O6 O 0.720 0.207 0.748
O7 O 0.794 0.207 0.251
O8 O 0.927 0.500 0.518
```